Diffraction record for Ti4BeFe. The powder diffractogram is simulated, not measured: it uses DFT lattice parameters and positions (GGA-PBE) and Cu Kα X-rays.

The 8 most intense peaks (10 to 90 degrees two-theta), sorted by position:
2theta	I_rel
13.55	35
27.53	19
30.76	20
31.23	41
42.87	100
45.91	53
46.54	26
65.13	17

Cell and atoms:
Lattice parameters (Å, degrees): 4.244 4.244 6.877 106.07 106.07 54.75
Sites, in units of the cell vectors:
Ti 0.124 0.124 0.383
Ti 0.367 0.367 0.135
Ti 0.633 0.633 0.865
Ti 0.876 0.876 0.617
Be 0.000 0.000 0.000
Fe 0.500 0.500 0.500